The following is a simulated X-ray powder pattern of YH3. It was derived from DFT lattice parameters and positions (PBE), using Cu Kα (λ = 1.5418 Å).
No peak broadening, texture or thermal motion is included.

Cell and atoms:
```
data_YH3
_chemical_formula_sum 'Y2 H6'
_symmetry_space_group_name_H-M 'P 63/m m c'
_symmetry_Int_Tables_number 194
_symmetry_space_group_name_Hall '-P 6c 2c'
_cell_length_a 3.6209
_cell_length_b 3.6209
_cell_length_c 6.1266
_cell_angle_alpha 90.00
_cell_angle_beta 90.00
_cell_angle_gamma 120.00
loop_
_atom_site_label
_atom_site_fract_x
_atom_site_fract_y
_atom_site_fract_z
Y1 0.3333 0.6667 0.2500
H1 0.0000 0.0000 0.0000
H2 0.3333 0.6667 0.5971
```

The 6 most intense peaks (15° ≤ 2θ ≤ 90°), in order of falling intensity:
2θ = 32.06°, rel. 100, (1 0 1); 2θ = 29.15°, rel. 28, (0 0 2); 2θ = 53.55°, rel. 24, (1 0 3); 2θ = 28.46°, rel. 24, (1 0 0); 2θ = 59.29°, rel. 22, (1 1 2); 2θ = 50.40°, rel. 20, (1 1 0)


The following is a simulated X-ray powder pattern of K3Co. It was derived from DFT lattice parameters and positions (PBE), using Cu Kα (λ = 1.5418 Å).
No peak broadening, texture or thermal motion is included.

Cell and atoms:
```
data_K3Co
_chemical_formula_sum 'K6 Co2'
_symmetry_space_group_name_H-M 'P 1 21/c 1'
_symmetry_Int_Tables_number 14
_cell_length_a 6.9398
_cell_length_b 9.8091
_cell_length_c 8.2079
_cell_angle_alpha 90.00
_cell_angle_beta 106.28
_cell_angle_gamma 90.00
loop_
_symmetry_equiv_pos_as_xyz
'x,y,z'
'-x,-y,-z'
'-x,y+1/2,-z+1/2'
'x,-y+1/2,z+1/2'
loop_
_atom_site_label
_atom_site_fract_x
_atom_site_fract_y
_atom_site_fract_z
K1 0.0000 0.0000 0.0000
K2 0.4985 0.2475 0.3745
Co1 0.0000 0.0000 0.5000
```

The 6 most intense peaks (15° ≤ 2θ ≤ 90°), in order of falling intensity:
2θ = 22.52°, rel. 100, (1 2 0); 2θ = 26.77°, rel. 28, (2 0 0); 2θ = 44.81°, rel. 16, (3 2 0); 2θ = 24.35°, rel. 14, (0 1 2); 2θ = 29.07°, rel. 14, (0 2 2); 2θ = 24.54°, rel. 14, (1 1 -2)


The following is a simulated X-ray powder pattern of NaMg6W. It was derived from DFT lattice parameters and positions (PBE), using Cu Kα (λ = 1.5418 Å).
No peak broadening, texture or thermal motion is included.

Cell and atoms:
```
data_NaMg6W
_chemical_formula_sum 'Na2 Mg12 W2'
_symmetry_space_group_name_H-M 'A m m 2'
_symmetry_Int_Tables_number 38
_cell_length_a 4.4249
_cell_length_b 8.7290
_cell_length_c 8.7754
_cell_angle_alpha 90.00
_cell_angle_beta 90.00
_cell_angle_gamma 90.00
loop_
_symmetry_equiv_pos_as_xyz
'x,y,z'
'-x,-y,z'
'-x,y,z'
'x,-y,z'
'x,y+1/2,z+1/2'
'-x,-y+1/2,z+1/2'
'-x,y+1/2,z+1/2'
'x,-y+1/2,z+1/2'
loop_
_atom_site_label
_atom_site_fract_x
_atom_site_fract_y
_atom_site_fract_z
Na1 0.0000 0.0000 0.0000
Mg1 0.0000 0.2465 0.2552
Mg2 0.5000 0.0000 0.2721
Mg3 0.5000 0.0000 0.7358
Mg4 0.5000 0.2284 0.5047
W1 0.0000 0.0000 0.5059
```

The 6 most intense peaks (15° ≤ 2θ ≤ 90°), in order of falling intensity:
2θ = 35.40°, rel. 100, (1 2 2); 2θ = 24.73°, rel. 40, (1 1 1); 2θ = 28.69°, rel. 31, (1 0 2); 2θ = 20.07°, rel. 19, (1 0 0); 2θ = 20.24°, rel. 19, (0 0 2); 2θ = 20.35°, rel. 19, (0 2 0)


The following is a simulated X-ray powder pattern of Na2LiInF6. It was derived from DFT lattice parameters and positions (PBE), using Cu Kα (λ = 1.5418 Å).
No peak broadening, texture or thermal motion is included.

Cell and atoms:
```
data_Na2LiInF6
_chemical_formula_sum 'Na8 Li4 In4 F24'
_symmetry_space_group_name_H-M 'F m -3 m'
_symmetry_Int_Tables_number 225
_symmetry_space_group_name_Hall '-F 4 2 3'
_cell_length_a 8.1818
_cell_length_b 8.1818
_cell_length_c 8.1818
_cell_angle_alpha 90.00
_cell_angle_beta 90.00
_cell_angle_gamma 90.00
loop_
_atom_site_label
_atom_site_fract_x
_atom_site_fract_y
_atom_site_fract_z
Na1 0.2500 0.2500 0.2500
Li1 0.0000 0.0000 0.0000
In1 0.0000 0.0000 0.5000
F1 0.0000 0.0000 0.2453
```

The 6 most intense peaks (15° ≤ 2θ ≤ 90°), in order of falling intensity:
2θ = 18.79°, rel. 100, (1 1 1); 2θ = 30.91°, rel. 65, (2 2 0); 2θ = 36.42°, rel. 62, (3 1 1); 2θ = 21.72°, rel. 61, (2 0 0); 2θ = 44.28°, rel. 55, (4 0 0); 2θ = 64.42°, rel. 31, (4 4 0)


The following is a simulated X-ray powder pattern of Ba2TbMgBiO6. It was derived from DFT lattice parameters and positions (PBE), using Cu Kα (λ = 1.5418 Å).
No peak broadening, texture or thermal motion is included.

Cell and atoms:
```
data_Ba2TbMgBiO6
_chemical_formula_sum 'Ba4 Tb2 Mg2 Bi2 O12'
_symmetry_space_group_name_H-M 'C 1 2/m 1'
_symmetry_Int_Tables_number 12
_cell_length_a 11.2477
_cell_length_b 6.2860
_cell_length_c 6.2811
_cell_angle_alpha 90.00
_cell_angle_beta 120.87
_cell_angle_gamma 90.00
loop_
_symmetry_equiv_pos_as_xyz
'x,y,z'
'-x,-y,-z'
'-x,y,-z'
'x,-y,z'
'x+1/2,y+1/2,z'
'-x+1/2,-y+1/2,-z'
'-x+1/2,y+1/2,-z'
'x+1/2,-y+1/2,z'
loop_
_atom_site_label
_atom_site_fract_x
_atom_site_fract_y
_atom_site_fract_z
Ba1 0.2015 0.0000 0.1834
Tb1 0.0000 0.0000 0.5000
Mg1 0.0000 0.5000 0.5000
Bi1 0.0000 0.5000 0.0000
O1 0.0565 0.2716 0.7684
O2 0.2495 0.0000 0.6412
```

The 6 most intense peaks (15° ≤ 2θ ≤ 90°), in order of falling intensity:
2θ = 28.43°, rel. 100, (0 2 0); 2θ = 26.77°, rel. 83, (1 1 1); 2θ = 27.80°, rel. 82, (3 1 -1); 2θ = 40.64°, rel. 52, (2 2 -2); 2θ = 48.77°, rel. 26, (6 0 -2); 2θ = 50.61°, rel. 21, (5 1 -3)


The following is a simulated X-ray powder pattern of PuPd3. It was derived from DFT lattice parameters and positions (PBE), using Cu Kα (λ = 1.5418 Å).
No peak broadening, texture or thermal motion is included.

Cell and atoms:
```
data_PuPd3
_chemical_formula_sum 'Pu2 Pd6'
_symmetry_space_group_name_H-M 'I 4/m m m'
_symmetry_Int_Tables_number 139
_symmetry_space_group_name_Hall '-I 4 2'
_cell_length_a 4.1478
_cell_length_b 4.1478
_cell_length_c 8.2721
_cell_angle_alpha 90.00
_cell_angle_beta 90.00
_cell_angle_gamma 90.00
loop_
_atom_site_label
_atom_site_fract_x
_atom_site_fract_y
_atom_site_fract_z
Pu1 0.0000 0.0000 0.0000
Pd1 0.0000 0.0000 0.5000
Pd2 0.0000 0.5000 0.2500
```

The 6 most intense peaks (15° ≤ 2θ ≤ 90°), in order of falling intensity:
2θ = 37.60°, rel. 100, (1 1 2); 2θ = 43.64°, rel. 33, (2 0 0); 2θ = 76.14°, rel. 25, (3 1 2); 2θ = 63.53°, rel. 22, (2 0 4); 2θ = 43.77°, rel. 16, (0 0 4); 2θ = 24.00°, rel. 15, (1 0 1)


The following is a simulated X-ray powder pattern of SmTiO3. It was derived from DFT lattice parameters and positions (PBE), using Cu Kα (λ = 1.5418 Å).
No peak broadening, texture or thermal motion is included.

Cell and atoms:
```
data_SmTiO3
_chemical_formula_sum 'Sm1 Ti1 O3'
_symmetry_space_group_name_H-M 'P m -3 m'
_symmetry_Int_Tables_number 221
_symmetry_space_group_name_Hall '-P 4 2 3'
_cell_length_a 3.9138
_cell_length_b 3.9138
_cell_length_c 3.9138
_cell_angle_alpha 90.00
_cell_angle_beta 90.00
_cell_angle_gamma 90.00
loop_
_atom_site_label
_atom_site_fract_x
_atom_site_fract_y
_atom_site_fract_z
Sm1 0.0000 0.0000 0.0000
Ti1 0.5000 0.5000 0.5000
O1 0.0000 0.5000 0.5000
```

The 6 most intense peaks (15° ≤ 2θ ≤ 90°), in order of falling intensity:
2θ = 32.35°, rel. 100, (1 1 0); 2θ = 57.70°, rel. 38, (2 1 1); 2θ = 46.40°, rel. 33, (2 0 0); 2θ = 39.90°, rel. 26, (1 1 1); 2θ = 22.72°, rel. 25, (1 0 0); 2θ = 67.72°, rel. 19, (2 2 0)


The following is a simulated X-ray powder pattern of Ca3La2Sb3O14. It was derived from DFT lattice parameters and positions (PBE), using Cu Kα (λ = 1.5418 Å).
No peak broadening, texture or thermal motion is included.

Cell and atoms:
```
data_Ca3La2Sb3O14
_chemical_formula_sum 'Ca6 La4 Sb6 O28'
_symmetry_space_group_name_H-M 'C 1 2/m 1'
_symmetry_Int_Tables_number 12
_cell_length_a 13.0976
_cell_length_b 7.6377
_cell_length_c 7.5483
_cell_angle_alpha 90.00
_cell_angle_beta 124.88
_cell_angle_gamma 90.00
loop_
_symmetry_equiv_pos_as_xyz
'x,y,z'
'-x,-y,-z'
'-x,y,-z'
'x,-y,z'
'x+1/2,y+1/2,z'
'-x+1/2,-y+1/2,-z'
'-x+1/2,y+1/2,-z'
'x+1/2,-y+1/2,z'
loop_
_atom_site_label
_atom_site_fract_x
_atom_site_fract_y
_atom_site_fract_z
Ca1 0.0000 0.0000 0.0000
Ca2 0.0000 0.0000 0.5000
Ca3 0.0000 0.5000 0.0000
La1 0.2500 0.2500 0.5000
Sb1 0.0000 0.5000 0.5000
Sb2 0.2500 0.2500 0.0000
O1 0.0940 0.5000 0.3684
O2 0.1137 0.2976 0.6826
O3 0.1239 0.0000 0.3793
O4 0.1382 0.2692 0.0940
O5 0.1869 0.0000 0.9136
```

The 6 most intense peaks (15° ≤ 2θ ≤ 90°), in order of falling intensity:
2θ = 28.68°, rel. 100, (2 2 0); 2θ = 33.37°, rel. 58, (4 0 0); 2θ = 28.99°, rel. 52, (4 0 -2); 2θ = 28.84°, rel. 50, (0 0 2); 2θ = 47.81°, rel. 36, (2 2 2); 2θ = 48.01°, rel. 30, (6 2 -2)


The following is a simulated X-ray powder pattern of NpBeO3. It was derived from DFT lattice parameters and positions (PBE), using Cu Kα (λ = 1.5418 Å).
No peak broadening, texture or thermal motion is included.

Cell and atoms:
```
data_NpBeO3
_chemical_formula_sum 'Np1 Be1 O3'
_symmetry_space_group_name_H-M 'P m -3 m'
_symmetry_Int_Tables_number 221
_symmetry_space_group_name_Hall '-P 4 2 3'
_cell_length_a 3.5698
_cell_length_b 3.5698
_cell_length_c 3.5698
_cell_angle_alpha 90.00
_cell_angle_beta 90.00
_cell_angle_gamma 90.00
loop_
_atom_site_label
_atom_site_fract_x
_atom_site_fract_y
_atom_site_fract_z
Np1 0.0000 0.0000 0.0000
Be1 0.5000 0.5000 0.5000
O1 0.0000 0.5000 0.5000
```

The 6 most intense peaks (15° ≤ 2θ ≤ 90°), in order of falling intensity:
2θ = 24.94°, rel. 100, (1 0 0); 2θ = 35.57°, rel. 94, (1 1 0); 2θ = 43.93°, rel. 53, (1 1 1); 2θ = 57.75°, rel. 44, (2 1 0); 2θ = 63.87°, rel. 37, (2 1 1); 2θ = 51.18°, rel. 27, (2 0 0)


The following is a simulated X-ray powder pattern of CeNi4Sn2. It was derived from DFT lattice parameters and positions (PBE), using Cu Kα (λ = 1.5418 Å).
No peak broadening, texture or thermal motion is included.

Cell and atoms:
```
data_CeNi4Sn2
_chemical_formula_sum 'Ce4 Ni16 Sn8'
_symmetry_space_group_name_H-M 'I 4/m c m'
_symmetry_Int_Tables_number 140
_symmetry_space_group_name_Hall '-I 4 2c'
_cell_length_a 7.6254
_cell_length_b 7.6254
_cell_length_c 7.9950
_cell_angle_alpha 90.00
_cell_angle_beta 90.00
_cell_angle_gamma 90.00
loop_
_atom_site_label
_atom_site_fract_x
_atom_site_fract_y
_atom_site_fract_z
Ce1 0.0000 0.0000 0.2500
Ni1 0.1400 0.3600 0.1656
Sn1 0.1587 0.3413 0.5000
```

The 6 most intense peaks (15° ≤ 2θ ≤ 90°), in order of falling intensity:
2θ = 43.08°, rel. 100, (2 1 3); 2θ = 37.29°, rel. 88, (3 1 0); 2θ = 32.45°, rel. 34, (2 0 2); 2θ = 27.78°, rel. 28, (1 1 2); 2θ = 76.12°, rel. 26, (5 2 3); 2θ = 28.45°, rel. 15, (2 1 1)


What did the fifth record say?
The following is a simulated X-ray powder pattern of Ba2TbMgBiO6. It was derived from DFT lattice parameters and positions (PBE), using Cu Kα (λ = 1.5418 Å).
No peak broadening, texture or thermal motion is included.

Cell and atoms:
```
data_Ba2TbMgBiO6
_chemical_formula_sum 'Ba4 Tb2 Mg2 Bi2 O12'
_symmetry_space_group_name_H-M 'C 1 2/m 1'
_symmetry_Int_Tables_number 12
_cell_length_a 11.2477
_cell_length_b 6.2860
_cell_length_c 6.2811
_cell_angle_alpha 90.00
_cell_angle_beta 120.87
_cell_angle_gamma 90.00
loop_
_symmetry_equiv_pos_as_xyz
'x,y,z'
'-x,-y,-z'
'-x,y,-z'
'x,-y,z'
'x+1/2,y+1/2,z'
'-x+1/2,-y+1/2,-z'
'-x+1/2,y+1/2,-z'
'x+1/2,-y+1/2,z'
loop_
_atom_site_label
_atom_site_fract_x
_atom_site_fract_y
_atom_site_fract_z
Ba1 0.2015 0.0000 0.1834
Tb1 0.0000 0.0000 0.5000
Mg1 0.0000 0.5000 0.5000
Bi1 0.0000 0.5000 0.0000
O1 0.0565 0.2716 0.7684
O2 0.2495 0.0000 0.6412
```

The 6 most intense peaks (15° ≤ 2θ ≤ 90°), in order of falling intensity:
2θ = 28.43°, rel. 100, (0 2 0); 2θ = 26.77°, rel. 83, (1 1 1); 2θ = 27.80°, rel. 82, (3 1 -1); 2θ = 40.64°, rel. 52, (2 2 -2); 2θ = 48.77°, rel. 26, (6 0 -2); 2θ = 50.61°, rel. 21, (5 1 -3)


What did the third record say?
The following is a simulated X-ray powder pattern of NaMg6W. It was derived from DFT lattice parameters and positions (PBE), using Cu Kα (λ = 1.5418 Å).
No peak broadening, texture or thermal motion is included.

Cell and atoms:
```
data_NaMg6W
_chemical_formula_sum 'Na2 Mg12 W2'
_symmetry_space_group_name_H-M 'A m m 2'
_symmetry_Int_Tables_number 38
_cell_length_a 4.4249
_cell_length_b 8.7290
_cell_length_c 8.7754
_cell_angle_alpha 90.00
_cell_angle_beta 90.00
_cell_angle_gamma 90.00
loop_
_symmetry_equiv_pos_as_xyz
'x,y,z'
'-x,-y,z'
'-x,y,z'
'x,-y,z'
'x,y+1/2,z+1/2'
'-x,-y+1/2,z+1/2'
'-x,y+1/2,z+1/2'
'x,-y+1/2,z+1/2'
loop_
_atom_site_label
_atom_site_fract_x
_atom_site_fract_y
_atom_site_fract_z
Na1 0.0000 0.0000 0.0000
Mg1 0.0000 0.2465 0.2552
Mg2 0.5000 0.0000 0.2721
Mg3 0.5000 0.0000 0.7358
Mg4 0.5000 0.2284 0.5047
W1 0.0000 0.0000 0.5059
```

The 6 most intense peaks (15° ≤ 2θ ≤ 90°), in order of falling intensity:
2θ = 35.40°, rel. 100, (1 2 2); 2θ = 24.73°, rel. 40, (1 1 1); 2θ = 28.69°, rel. 31, (1 0 2); 2θ = 20.07°, rel. 19, (1 0 0); 2θ = 20.24°, rel. 19, (0 0 2); 2θ = 20.35°, rel. 19, (0 2 0)